(1)
The following is a computed powder diffraction line list of Np4P6Rh7. It was derived from a GGA-PBE-relaxed structure, using Cu Ka.
No peak broadening, texture or thermal motion is included.

Cell and atoms:
a b c (Å): 8.2407 8.2407 8.2407
angles (deg): 90.00 90.00 90.00
Space group Im-3m (No. 229)
One atom of each set of equivalent atoms:
Np 0.2500 0.2500 0.2500 x8
P 0.0000 0.0000 0.3153 x12
Rh 0.0000 0.0000 0.0000 x2
Rh 0.0000 0.2500 0.5000 x12

Largest 10 diffraction maxima, most intense first, 2θ from 5° to 70°:
| 2θ (°) | I (rel.) | h k l |
| --- | --- | --- |
| 37.82 | 1000 | 2 2 2 |
| 30.69 | 660 | 2 2 0 |
| 43.95 | 627 | 4 0 0 |
| 63.90 | 384 | 4 4 0 |
| 21.57 | 320 | 2 0 0 |
| 54.55 | 236 | 4 2 2 |
| 49.46 | 206 | 4 2 0 |
| 40.98 | 183 | 3 2 1 |
| 26.49 | 156 | 2 1 1 |
| 68.29 | 112 | 4 4 2 |

***

(2)
The following is a computed powder diffraction line list of HfBe3Ni10. It was derived from a GGA-PBE-relaxed structure, using Cu Ka.
No peak broadening, texture or thermal motion is included.

Cell and atoms:
a b c (Å): 10.7734 10.7734 10.7734
angles (deg): 90.00 90.00 90.00
Space group Fm-3m (No. 225)
One atom of each set of equivalent atoms:
Hf 0.2500 0.2500 0.2500 x8
Be 0.0000 0.0000 0.2280 x24
Ni 0.0000 0.1710 0.3290 x48
Ni 0.1174 0.1174 0.1174 x32

Largest 10 diffraction maxima, most intense first, 2θ from 5° to 70°:
| 2θ (°) | I (rel.) | h k l |
| --- | --- | --- |
| 37.33 | 1000 | 4 2 0 |
| 43.66 | 881 | 3 3 3 |
| 41.04 | 632 | 4 2 2 |
| 16.46 | 530 | 2 0 0 |
| 50.09 | 409 | 5 3 1 |
| 47.76 | 375 | 4 4 0 |
| 56.67 | 298 | 6 2 2 |
| 53.82 | 98 | 6 2 0 |
| 23.35 | 85 | 2 2 0 |
| 69.84 | 67 | 8 0 0 |

***

(3)
The following is a computed powder diffraction line list of K2InPbO4. It was derived from a GGA-PBE-relaxed structure, using Cu Ka.
No peak broadening, texture or thermal motion is included.

Cell and atoms:
a b c (Å): 6.0406 3.4997 6.5331
angles (deg): 90.00 107.98 90.00
Space group P2/m (No. 10)
One atom of each set of equivalent atoms:
K 0.0000 0.0000 0.0000 x1
K 0.5000 0.5000 0.0000 x1
In 0.0000 0.5000 0.5000 x1
Pb 0.5000 0.0000 0.5000 x1
O 0.2165 0.0000 0.6898 x2
O 0.2539 0.5000 0.3070 x2

Largest 10 diffraction maxima, most intense first, 2θ from 5° to 70°:
| 2θ (°) | I (rel.) | h k l |
| --- | --- | --- |
| 35.37 | 1000 | 1 1 1 |
| 14.25 | 938 | 0 0 1 |
| 31.08 | 755 | 2 0 0 |
| 29.92 | 386 | 1 1 0 |
| 49.36 | 339 | 2 0 2 |
| 28.73 | 336 | 0 0 2 |
| 52.43 | 209 | 3 1 -1 |
| 45.37 | 198 | 2 0 -3 |
| 60.88 | 167 | 3 1 -3 |
| 58.12 | 161 | 2 0 -4 |

***

(4)
The following is a computed powder diffraction line list of NaLiSi2H4O7. It was derived from a GGA-PBE-relaxed structure, using Cu Ka.
No peak broadening, texture or thermal motion is included.

Cell and atoms:
a b c (Å): 14.5354 8.4134 5.0997
angles (deg): 90.00 97.30 90.00
Space group C2/c (No. 15)
One atom of each set of equivalent atoms:
Na 0.0000 0.1398 0.2500 x4
Li 0.0000 0.4926 0.7500 x4
Si 0.1873 0.4028 0.5583 x8
H 0.0867 0.1982 0.7731 x8
H 0.1569 0.1027 0.9767 x8
O 0.0775 0.3712 0.5143 x8
O 0.0909 0.1117 0.9052 x8
O 0.2220 0.4527 0.8707 x8
O 0.2500 0.2500 0.5000 x4

Largest 10 diffraction maxima, most intense first, 2θ from 5° to 70°:
| 2θ (°) | I (rel.) | h k l |
| --- | --- | --- |
| 29.33 | 1000 | 2 2 -1 |
| 21.29 | 939 | 3 1 0 |
| 31.22 | 547 | 2 2 1 |
| 12.25 | 494 | 2 0 0 |
| 22.04 | 410 | 1 1 1 |
| 20.74 | 329 | 1 1 -1 |
| 32.83 | 325 | 5 1 0 |
| 29.21 | 293 | 3 1 1 |
| 35.48 | 221 | 0 0 2 |
| 56.55 | 216 | 7 3 -1 |

***

(5)
The following is a computed powder diffraction line list of Sm2ScTl9. It was derived from a GGA-PBE-relaxed structure, using Cu Ka.
No peak broadening, texture or thermal motion is included.

Cell and atoms:
a b c (Å): 4.7714 4.7714 14.2686
angles (deg): 90.00 90.00 90.00
Space group P4/mmm (No. 123)
One atom of each set of equivalent atoms:
Sm 0.0000 0.0000 0.1700 x2
Sc 0.0000 0.0000 0.5000 x1
Tl 0.0000 0.5000 0.0000 x2
Tl 0.0000 0.5000 0.3401 x4
Tl 0.5000 0.5000 0.1687 x2
Tl 0.5000 0.5000 0.5000 x1

Largest 10 diffraction maxima, most intense first, 2θ from 5° to 70°:
| 2θ (°) | I (rel.) | h k l |
| --- | --- | --- |
| 32.54 | 1000 | 1 1 3 |
| 54.45 | 351 | 2 2 0 |
| 37.71 | 340 | 2 0 0 |
| 64.83 | 282 | 3 1 3 |
| 37.83 | 164 | 0 0 6 |
| 65.00 | 132 | 1 1 9 |
| 68.15 | 119 | 2 2 6 |
| 18.62 | 39 | 1 0 0 |
| 26.45 | 35 | 1 0 3 |
| 46.68 | 16 | 2 1 3 |

***

(6)
The following is a computed powder diffraction line list of Tb3PmMg. It was derived from a GGA-PBE-relaxed structure, using Cu Ka.
No peak broadening, texture or thermal motion is included.

Cell and atoms:
a b c (Å): 3.4750 5.6254 16.0214
angles (deg): 90.00 90.00 90.00
Space group Imm2 (No. 44)
One atom of each set of equivalent atoms:
Tb 0.0000 0.0000 0.0000 x2
Tb 0.0000 0.0000 0.4238 x2
Tb 0.0000 0.5000 0.3116 x2
Pm 0.0000 0.5000 0.7152 x2
Mg 0.0000 0.5000 0.1112 x2

Largest 10 diffraction maxima, most intense first, 2θ from 5° to 70°:
| 2θ (°) | I (rel.) | h k l |
| --- | --- | --- |
| 32.28 | 1000 | 1 1 2 |
| 32.15 | 781 | 0 1 5 |
| 31.82 | 431 | 0 2 0 |
| 30.70 | 413 | 1 0 3 |
| 56.94 | 353 | 0 3 5 |
| 44.79 | 293 | 1 2 3 |
| 11.04 | 271 | 0 0 2 |
| 63.07 | 226 | 2 1 5 |
| 58.37 | 213 | 1 2 7 |
| 47.57 | 196 | 1 0 7 |

***

(7)
The following is a computed powder diffraction line list of ZrSc7. It was derived from a GGA-PBE-relaxed structure, using Cu Ka.
No peak broadening, texture or thermal motion is included.

Cell and atoms:
a b c (Å): 3.1828 10.1414 11.9024
angles (deg): 90.00 90.00 90.00
Space group Immm (No. 71)
One atom of each set of equivalent atoms:
Zr 0.0000 0.0000 0.0000 x2
Sc 0.0000 0.2382 0.3703 x8
Sc 0.0000 0.5000 0.0000 x2
Sc 0.0000 0.5000 0.2604 x4

Largest 10 diffraction maxima, most intense first, 2θ from 5° to 70°:
| 2θ (°) | I (rel.) | h k l |
| --- | --- | --- |
| 34.96 | 1000 | 0 2 4 |
| 34.10 | 862 | 1 2 1 |
| 36.18 | 484 | 1 0 3 |
| 35.40 | 478 | 0 4 0 |
| 51.52 | 313 | 1 4 3 |
| 33.12 | 270 | 1 1 2 |
| 69.50 | 228 | 2 2 4 |
| 64.83 | 203 | 1 2 7 |
| 11.46 | 168 | 0 1 1 |
| 63.27 | 151 | 0 6 4 |

***

(8)
The following is a computed powder diffraction line list of La2Ti2B. It was derived from a GGA-PBE-relaxed structure, using Cu Ka.
No peak broadening, texture or thermal motion is included.

Cell and atoms:
a b c (Å): 6.4166 6.4166 5.0313
angles (deg): 90.00 90.00 90.00
Space group P4/mbm (No. 127)
One atom of each set of equivalent atoms:
La 0.1705 0.3295 0.0000 x4
Ti 0.1637 0.6637 0.5000 x4
B 0.0000 0.0000 0.5000 x2

Largest 10 diffraction maxima, most intense first, 2θ from 5° to 70°:
| 2θ (°) | I (rel.) | h k l |
| --- | --- | --- |
| 36.03 | 1000 | 2 1 1 |
| 17.63 | 266 | 0 0 1 |
| 35.69 | 243 | 0 0 2 |
| 62.47 | 227 | 4 1 1 |
| 27.81 | 225 | 2 0 0 |
| 64.33 | 220 | 2 1 3 |
| 31.17 | 164 | 2 1 0 |
| 44.66 | 125 | 3 1 0 |
| 45.84 | 114 | 2 0 2 |
| 58.43 | 109 | 3 1 2 |

***

(9)
The following is a computed powder diffraction line list of BaNbSi2S8. It was derived from a GGA-PBE-relaxed structure, using Cu Ka.
No peak broadening, texture or thermal motion is included.

Cell and atoms:
a b c (Å): 6.1113 6.1113 8.6642
angles (deg): 90.00 90.00 120.00
Space group P-3 (No. 147)
One atom of each set of equivalent atoms:
Ba 0.0000 0.0000 0.0000 x1
Nb 0.0000 0.0000 0.5000 x1
Si 0.3333 0.6667 0.7320 x2
S 0.0033 0.6746 0.3335 x6
S 0.3333 0.6667 0.9751 x2

Largest 10 diffraction maxima, most intense first, 2θ from 5° to 70°:
| 2θ (°) | I (rel.) | h k l |
| --- | --- | --- |
| 26.59 | 1000 | 1 0 2 |
| 51.77 | 953 | 3 0 0 |
| 35.97 | 932 | 2 -1 2 |
| 16.75 | 845 | 1 0 0 |
| 31.01 | 834 | 0 0 3 |
| 29.23 | 509 | 1 1 0 |
| 39.92 | 356 | 0 2 2 |
| 50.24 | 355 | 3 -1 2 |
| 61.58 | 214 | 3 0 3 |
| 63.31 | 175 | 2 1 4 |

***

(10)
The following is a computed powder diffraction line list of Pm2Ho6Er3Pu. It was derived from a GGA-PBE-relaxed structure, using Cu Ka.
No peak broadening, texture or thermal motion is included.

Cell and atoms:
a b c (Å): 6.1456 10.6524 11.3639
angles (deg): 90.00 90.08 90.00
Space group C2/m (No. 12)
One atom of each set of equivalent atoms:
Pm 0.0000 0.1666 0.0000 x4
Ho 0.1650 0.3356 0.2505 x8
Ho 0.1718 0.0000 0.2504 x4
Er 0.0000 0.1667 0.5000 x4
Er 0.0000 0.5000 0.5000 x2
Pu 0.0000 0.5000 0.0000 x2

Largest 10 diffraction maxima, most intense first, 2θ from 5° to 70°:
| 2θ (°) | I (rel.) | h k l |
| --- | --- | --- |
| 33.13 | 1000 | 2 0 2 |
| 30.12 | 402 | 1 3 1 |
| 31.49 | 334 | 0 0 4 |
| 37.69 | 221 | 1 3 -3 |
| 57.12 | 214 | 2 0 6 |
| 61.59 | 200 | 0 6 4 |
| 51.50 | 169 | 3 3 0 |
| 62.61 | 162 | 2 6 2 |
| 49.90 | 100 | 1 3 5 |
| 61.67 | 99 | 3 3 4 |

***

(11)
The following is a computed powder diffraction line list of Sr2SmCd6. It was derived from a GGA-PBE-relaxed structure, using Cu Ka.
No peak broadening, texture or thermal motion is included.

Cell and atoms:
a b c (Å): 8.8791 8.8791 3.6655
angles (deg): 90.00 90.00 120.00
Space group P6/mmm (No. 191)
One atom of each set of equivalent atoms:
Sr 0.3333 0.6667 0.0000 x2
Sm 0.0000 0.0000 0.0000 x1
Cd 0.0000 0.3299 0.5000 x6

Largest 10 diffraction maxima, most intense first, 2θ from 5° to 70°:
| 2θ (°) | I (rel.) | h k l |
| --- | --- | --- |
| 31.65 | 1000 | 1 1 1 |
| 35.01 | 872 | 3 0 0 |
| 62.28 | 312 | 3 0 2 |
| 47.91 | 308 | 2 2 1 |
| 60.70 | 297 | 4 1 1 |
| 62.79 | 151 | 3 3 0 |
| 43.06 | 122 | 3 0 1 |
| 49.75 | 105 | 0 0 2 |
| 24.28 | 97 | 0 0 1 |
| 11.51 | 56 | 1 0 0 |